This entry pairs a crystal structure of CrFe3Ni12 with its computed PXRD pattern. Radiation: Cu Ka. Structure: DFT lattice parameters and positions (PBE).
Intensities are scaled so that the largest is 1000.

Largest 5 diffraction maxima, low angle first, 10° ≤ 2θ ≤ 80°:
d_spacing	I/Imax	h k l
2.047	1000	1 1 4
1.777	156	0 0 8
1.770	308	2 0 0
1.254	177	2 0 8
1.252	88	2 2 0

Atomic structure:
```
data_CrFe3Ni12
_space_group_name_H-M_alt 'P 4/m m m'
_space_group_IT_number 123
_space_group_name_Hall '-P 4 2'
_cell_length_a 3.5404
_cell_length_b 3.5404
_cell_length_c 14.2134
_cell_angle_alpha 90.00
_cell_angle_beta 90.00
_cell_angle_gamma 90.00
loop_
_atom_site_label
_atom_site_fract_x
_atom_site_fract_y
_atom_site_fract_z
Cr1 0.0000 0.0000 0.0000
Fe1 0.0000 0.0000 0.2504
Fe2 0.0000 0.0000 0.5000
Ni1 0.0000 0.5000 0.1251
Ni2 0.0000 0.5000 0.3751
Ni3 0.5000 0.5000 0.0000
Ni4 0.5000 0.5000 0.2502
Ni5 0.5000 0.5000 0.5000
```

This entry pairs a crystal structure of PmDyYSc with its computed PXRD pattern. Radiation: Cu Ka. Structure: DFT lattice parameters and positions (PBE).
Intensities are scaled so that the largest is 1000.

Largest 10 diffraction maxima, low angle first, 10° ≤ 2θ ≤ 80°:
d_spacing	I/Imax	h k l
5.774	195	2 0 0
3.177	112	3 1 0
3.147	109	1 1 -1
2.887	239	4 0 0
2.813	277	0 2 0
2.764	1000	1 1 1
2.015	168	4 2 0
1.642	129	7 1 -1
1.615	258	1 3 1
1.382	97	6 2 -2

Atomic structure:
```
data_PmDyYSc
_space_group_name_H-M_alt 'C 1 m 1'
_space_group_IT_number 8
_space_group_name_Hall 'C -2y'
_cell_length_a 12.1552
_cell_length_b 5.6253
_cell_length_c 3.7975
_cell_angle_alpha 90.00
_cell_angle_beta 108.19
_cell_angle_gamma 90.00
loop_
_atom_site_label
_atom_site_fract_x
_atom_site_fract_y
_atom_site_fract_z
Pm1 0.0000 0.0000 0.0000
Dy1 0.0440 0.5000 0.5442
Y1 0.2762 0.0000 0.7785
Sc1 0.2706 0.5000 0.2716
```

This entry pairs a crystal structure of SiTeS with its computed PXRD pattern. Radiation: Cu Ka. Structure: DFT lattice parameters and positions (PBE).
Intensities are scaled so that the largest is 1000.

Largest 10 diffraction maxima, low angle first, 10° ≤ 2θ ≤ 80°:
d_spacing	I/Imax	h k l
5.460	930	1 1 0
4.957	206	0 1 1
3.714	541	2 0 0
3.544	408	2 1 -1
3.366	1000	1 2 -1
3.145	526	0 0 2
2.864	428	1 2 1
2.238	329	3 2 -1
1.973	326	1 2 -3
1.824	210	3 2 1

Atomic structure:
```
data_SiTeS
_space_group_name_H-M_alt 'P 1 21/c 1'
_space_group_IT_number 14
_space_group_name_Hall '-P 2ybc'
_cell_length_a 8.0750
_cell_length_b 8.0531
_cell_length_c 6.8390
_cell_angle_alpha 90.00
_cell_angle_beta 113.10
_cell_angle_gamma 90.00
loop_
_atom_site_label
_atom_site_fract_x
_atom_site_fract_y
_atom_site_fract_z
Si1 0.1170 0.1254 0.1209
Te1 0.2612 0.1268 0.5253
S1 0.1733 0.6161 0.5234
```

This entry pairs a crystal structure of Nd3Al3Ga8 with its computed PXRD pattern. Radiation: Cu Ka. Structure: DFT lattice parameters and positions (PBE).
Intensities are scaled so that the largest is 1000.

Largest 10 diffraction maxima, low angle first, 10° ≤ 2θ ≤ 80°:
d_spacing	I/Imax	h k l
3.058	280	1 0 3
2.649	283	0 3 3
2.628	539	1 3 0
2.608	1000	1 2 3
2.186	233	0 0 6
2.139	330	2 0 0
1.817	164	0 5 3
1.681	192	1 3 6
1.664	154	2 3 3
1.462	152	1 6 3

Atomic structure:
```
data_Nd3Al3Ga8
_space_group_name_H-M_alt 'I m m m'
_space_group_IT_number 71
_space_group_name_Hall '-I 2 2'
_cell_length_a 4.2783
_cell_length_b 9.9892
_cell_length_c 13.1181
_cell_angle_alpha 90.00
_cell_angle_beta 90.00
_cell_angle_gamma 90.00
loop_
_atom_site_label
_atom_site_fract_x
_atom_site_fract_y
_atom_site_fract_z
Nd1 0.0000 0.0000 0.0000
Nd2 0.0000 0.0000 0.3172
Al1 0.0000 0.2182 0.5000
Al2 0.0000 0.5000 0.0000
Ga1 0.0000 0.2760 0.1381
Ga2 0.0000 0.3705 0.3345
```